(1)
This entry pairs a crystal structure of Tm5Zr2Sc4 with its calculated powder diffraction line list. Radiation: copper Kα. Structure: a PBE-relaxed structure.

Main lines, in order of falling intensity (15 to 90 degrees two-theta):
| d/Å | 2θ/deg | I/Imax |
| --- | --- | --- |
| 2.596 | 34.5 | 100 |
| 3.336 | 26.7 | 93 |
| 2.640 | 34.0 | 78 |
| 3.007 | 29.7 | 66 |
| 2.968 | 30.1 | 55 |
| 3.577 | 24.9 | 51 |
| 2.739 | 32.7 | 47 |
| 2.250 | 40.1 | 40 |
| 1.847 | 49.3 | 40 |
| 2.885 | 31.0 | 36 |

Structure:
abc: 11.664 11.664 11.664
angles: 163.67 137.15 46.15
Fractional positions:
Tm1 0.000 0.000 0.000
Tm2 0.056 0.348 0.708
Tm3 0.360 0.652 0.708
Tm4 0.640 0.348 0.292
Tm5 0.944 0.652 0.292
Zr1 0.272 0.772 0.500
Zr2 0.728 0.228 0.500
Sc1 0.316 0.500 0.816
Sc2 0.404 0.904 0.500
Sc3 0.596 0.096 0.500
Sc4 0.684 0.500 0.184

***

(2)
This entry pairs a crystal structure of Tm3Zr2Sc8 with its calculated powder diffraction line list. Radiation: copper Kα. Structure: a PBE-relaxed structure.

Main lines, in order of falling intensity (15 to 90 degrees two-theta):
| d/Å | 2θ/deg | I/Imax |
| --- | --- | --- |
| 2.620 | 34.2 | 100 |
| 2.656 | 33.7 | 80 |
| 2.391 | 37.6 | 79 |
| 2.750 | 32.6 | 45 |
| 5.595 | 15.8 | 44 |
| 2.502 | 35.9 | 37 |
| 2.711 | 33.0 | 35 |
| 2.798 | 32.0 | 27 |
| 2.299 | 39.2 | 27 |
| 1.514 | 61.2 | 25 |

Structure:
abc: 10.832 19.603 3.235
angles: 90.00 90.00 90.00
Fractional positions:
Tm1 0.000 0.000 0.000
Tm2 0.174 0.298 0.000
Tm3 0.326 0.798 0.000
Tm4 0.500 0.500 0.000
Tm5 0.674 0.202 0.000
Tm6 0.826 0.702 0.000
Zr1 0.196 0.918 0.500
Zr2 0.304 0.418 0.500
Zr3 0.696 0.582 0.500
Zr4 0.804 0.082 0.500
Sc1 0.006 0.165 0.000
Sc2 0.046 0.431 0.500
Sc3 0.109 0.700 0.500
Sc4 0.210 0.555 0.000
Sc5 0.290 0.055 0.000
Sc6 0.391 0.200 0.500
Sc7 0.454 0.931 0.500
Sc8 0.494 0.665 0.000
Sc9 0.506 0.335 0.000
Sc10 0.546 0.069 0.500
Sc11 0.609 0.800 0.500
Sc12 0.710 0.945 0.000
Sc13 0.790 0.445 0.000
Sc14 0.891 0.300 0.500
Sc15 0.954 0.569 0.500
Sc16 0.994 0.835 0.000

***

(3)
This entry pairs a crystal structure of ScW with its calculated powder diffraction line list. Radiation: copper Kα. Structure: a PBE-relaxed structure.

Main lines, in order of falling intensity (15 to 90 degrees two-theta):
| d/Å | 2θ/deg | I/Imax |
| --- | --- | --- |
| 2.409 | 37.3 | 100 |
| 4.936 | 18.0 | 72 |
| 2.099 | 43.1 | 67 |
| 2.511 | 35.8 | 41 |
| 2.468 | 36.4 | 36 |
| 1.264 | 75.2 | 25 |
| 1.498 | 62.0 | 22 |
| 1.471 | 63.2 | 21 |
| 1.931 | 47.0 | 20 |
| 1.410 | 66.3 | 15 |

Structure:
abc: 5.220 5.220 5.220
angles: 32.73 32.73 32.73
Fractional positions:
Sc1 0.000 0.000 0.000
W1 0.500 0.500 0.500